[1]
# Na5B7C3
Calculated powder diffraction line list, Cu Kα (weighted mean of Kα1 and Kα2). Input: a crystal structure in Alexandria, relaxed with PBE.

Structure:
```
data_Na5B7C3
_space_group_name_H-M_alt 'C 1 m 1'
_space_group_IT_number 8
_space_group_name_Hall 'C -2y'
_cell_length_a 17.8588
_cell_length_b 2.8409
_cell_length_c 13.3549
_cell_angle_alpha 90.00
_cell_angle_beta 113.29
_cell_angle_gamma 90.00
loop_
_atom_site_label
_atom_site_type_symbol
_atom_site_fract_x
_atom_site_fract_y
_atom_site_fract_z
_atom_site_occupancy
Na1 Na 0.0000 0.0000 0.0000 1
Na2 Na 0.0000 0.0000 0.4945 1
Na3 Na 0.1005 0.5000 0.1965 1
Na4 Na 0.1024 0.5000 0.6962 1
Na5 Na 0.1987 0.0000 0.3952 1
Na6 Na 0.2031 0.0000 0.8993 1
Na7 Na 0.2982 0.5000 0.5977 1
Na8 Na 0.3005 0.5000 0.0980 1
Na9 Na 0.3999 0.0000 0.2948 1
Na10 Na 0.4000 0.0000 0.7985 1
B1 B 0.0306 0.0000 0.3079 1
B2 B 0.0333 0.0000 0.8131 1
B3 B 0.0750 0.5000 0.8966 1
B4 B 0.1271 0.5000 0.5000 1
B5 B 0.1658 0.0000 0.0777 1
B6 B 0.1679 0.0000 0.5812 1
B7 B 0.2322 0.0000 0.2107 1
B8 B 0.2399 0.0000 0.7266 1
B9 B 0.2704 0.5000 0.2867 1
B10 B 0.3371 0.5000 0.9211 1
B11 B 0.3619 0.0000 0.4696 1
B12 B 0.4278 0.0000 0.6034 1
B13 B 0.4341 0.0000 0.1147 1
B14 B 0.4687 0.5000 0.6845 1
C1 C 0.0629 0.5000 0.3726 1
C2 C 0.1350 0.5000 0.0160 1
C3 C 0.2713 0.5000 0.7901 1
C4 C 0.3329 0.5000 0.4102 1
C5 C 0.3688 0.0000 0.9846 1
C6 C 0.4661 0.5000 0.1785 1
```

Most intense lines, 2θ from 15° to 90°, in order of rising 2θ:
(2 0 4), 2θ 35.06, intensity 11; (1 1 2), 2θ 36.16, intensity 17; (6 0 2), 2θ 41.09, intensity 50; (5 1 0), 2θ 42.06, intensity 100; (8 0 -4), 2θ 42.24, intensity 38; (9 1 -2), 2θ 56.79, intensity 10; (3 1 6), 2θ 63.61, intensity 17; (0 2 0), 2θ 65.74, intensity 8; (13 1 -4), 2θ 77.10, intensity 13; (5 1 -10), 2θ 79.29, intensity 8; (11 1 2), 2θ 79.41, intensity 8; (8 2 -4), 2θ 81.30, intensity 8

---

[2]
# NaTlVI6
Calculated powder diffraction line list, Cu Kα (weighted mean of Kα1 and Kα2). Input: a crystal structure in Alexandria, relaxed with PBE.

Structure:
```
data_NaTlVI6
_space_group_name_H-M_alt 'C 1 2 1'
_space_group_IT_number 5
_space_group_name_Hall 'C 2y'
_cell_length_a 7.8595
_cell_length_b 13.6460
_cell_length_c 6.9684
_cell_angle_alpha 90.00
_cell_angle_beta 90.05
_cell_angle_gamma 90.00
loop_
_atom_site_label
_atom_site_type_symbol
_atom_site_fract_x
_atom_site_fract_y
_atom_site_fract_z
_atom_site_occupancy
Na1 Na 0.0000 0.0000 0.0000 1
Tl1 Tl 0.0000 0.6662 0.5000 1
V1 V 0.0000 0.3329 0.0000 1
I1 I 0.1283 0.1875 0.7700 1
I2 I 0.1539 0.4697 0.7697 1
I3 I 0.2167 0.8415 0.7703 1
```

Most intense lines, 2θ from 15° to 90°, in order of rising 2θ:
(1 1 1), 2θ 18.21, intensity 41; (0 0 2), 2θ 25.57, intensity 10; (2 0 -1), 2θ 26.01, intensity 100; (0 4 0), 2θ 26.15, intensity 19; (0 2 2), 2θ 28.78, intensity 16; (1 3 -2), 2θ 34.38, intensity 49; (1 5 -1), 2θ 37.22, intensity 37; (3 3 0), 2θ 39.68, intensity 28; (2 0 3), 2θ 45.34, intensity 18; (4 2 -1), 2θ 50.00, intensity 11; (2 4 3), 2θ 53.09, intensity 13; (3 3 4), 2θ 67.79, intensity 10

---

[3]
# AgSe2Br6
Calculated powder diffraction line list, Cu Kα (weighted mean of Kα1 and Kα2). Input: a crystal structure in Alexandria, relaxed with PBE.

Structure:
```
data_AgSe2Br6
_space_group_name_H-M_alt 'C 1 2/c 1'
_space_group_IT_number 15
_space_group_name_Hall '-C 2yc'
_cell_length_a 18.1329
_cell_length_b 11.9021
_cell_length_c 7.9015
_cell_angle_alpha 90.00
_cell_angle_beta 106.98
_cell_angle_gamma 90.00
loop_
_atom_site_label
_atom_site_type_symbol
_atom_site_fract_x
_atom_site_fract_y
_atom_site_fract_z
_atom_site_occupancy
Ag1 Ag 0.0000 0.0001 0.2500 1
Se1 Se 0.0922 0.4839 0.3771 1
Br1 Br 0.0772 0.3516 0.6047 1
Br2 Br 0.1013 0.0026 0.5653 1
Br3 Br 0.2216 0.4503 0.3905 1
```

Most intense lines, 2θ from 15° to 90°, in order of rising 2θ:
(1 1 1), 2θ 15.94, intensity 67; (3 1 0), 2θ 17.05, intensity 57; (1 3 0), 2θ 23.00, intensity 68; (2 2 1), 2θ 23.18, intensity 88; (1 1 -2), 2θ 23.79, intensity 50; (1 1 2), 2θ 26.63, intensity 100; (2 2 -2), 2θ 27.29, intensity 56; (1 3 -2), 2θ 32.02, intensity 54; (6 0 -2), 2θ 33.09, intensity 53; (7 1 0), 2θ 37.06, intensity 58; (7 1 -2), 2θ 37.95, intensity 61; (3 3 2), 2θ 39.30, intensity 63

---

[4]
# PrTm2Ta
Calculated powder diffraction line list, Cu Kα (weighted mean of Kα1 and Kα2). Input: a crystal structure in Alexandria, relaxed with PBE.

Structure:
```
data_PrTm2Ta
_space_group_name_H-M_alt 'R -3 m'
_space_group_IT_number 166
_space_group_name_Hall '-R 3 2"'
_cell_length_a 3.2792
_cell_length_b 3.2792
_cell_length_c 35.3548
_cell_angle_alpha 90.00
_cell_angle_beta 90.00
_cell_angle_gamma 120.00
loop_
_atom_site_label
_atom_site_type_symbol
_atom_site_fract_x
_atom_site_fract_y
_atom_site_fract_z
_atom_site_occupancy
Pr1 Pr 0.0000 0.0000 0.0000 1
Tm1 Tm 0.0000 0.0000 0.4178 1
Ta1 Ta 0.0000 0.0000 0.5000 1
```

Most intense lines, 2θ from 15° to 90°, in order of rising 2θ:
(0 0 12), 2θ 30.34, intensity 67; (1 0 1), 2θ 31.61, intensity 46; (0 1 2), 2θ 31.92, intensity 100; (0 1 5), 2θ 34.02, intensity 21; (1 0 7), 2θ 36.29, intensity 20; (1 0 10), 2θ 40.75, intensity 46; (0 1 11), 2θ 42.48, intensity 19; (1 0 13), 2θ 46.22, intensity 18; (0 1 14), 2θ 48.22, intensity 35; (1 1 0), 2θ 56.09, intensity 36; (1 1 12), 2θ 65.11, intensity 46; (1 1 24), 2θ 89.42, intensity 20

---

[5]
# Dy4InGe2
Calculated powder diffraction line list, Cu Kα (weighted mean of Kα1 and Kα2). Input: a crystal structure in Alexandria, relaxed with PBE.

Structure:
```
data_Dy4InGe2
_space_group_name_H-M_alt 'I -4 2 d'
_space_group_IT_number 122
_space_group_name_Hall 'I -4 2bw'
_cell_length_a 9.0244
_cell_length_b 9.0244
_cell_length_c 8.9450
_cell_angle_alpha 90.00
_cell_angle_beta 90.00
_cell_angle_gamma 90.00
loop_
_atom_site_label
_atom_site_type_symbol
_atom_site_fract_x
_atom_site_fract_y
_atom_site_fract_z
_atom_site_occupancy
Dy1 Dy 0.0690 0.1753 0.3145 1
In1 In 0.0000 0.0000 0.0000 1
Ge1 Ge 0.1315 0.2500 0.6250 1
```

Most intense lines, 2θ from 15° to 90°, in order of rising 2θ:
(2 0 2), 2θ 28.09, intensity 17; (3 0 1), 2θ 31.36, intensity 100; (1 0 3), 2θ 31.60, intensity 55; (3 2 1), 2θ 37.34, intensity 80; (2 1 3), 2θ 37.50, intensity 19; (4 2 2), 2θ 49.56, intensity 17; (2 2 4), 2θ 49.79, intensity 12; (4 3 1), 2θ 51.66, intensity 18; (4 1 3), 2θ 51.82, intensity 12; (3 1 4), 2θ 51.95, intensity 15; (6 1 1), 2θ 63.59, intensity 17; (6 0 2), 2θ 65.44, intensity 15

---

[6]
# KNa2NbCl8
Calculated powder diffraction line list, Cu Kα (weighted mean of Kα1 and Kα2). Input: a crystal structure in Alexandria, relaxed with PBE.

Structure:
```
data_KNa2NbCl8
_space_group_name_H-M_alt 'P -1'
_space_group_IT_number 2
_space_group_name_Hall '-P 1'
_cell_length_a 6.4403
_cell_length_b 6.7180
_cell_length_c 9.1494
_cell_angle_alpha 83.18
_cell_angle_beta 83.85
_cell_angle_gamma 85.57
loop_
_atom_site_label
_atom_site_type_symbol
_atom_site_fract_x
_atom_site_fract_y
_atom_site_fract_z
_atom_site_occupancy
K1 K 0.0000 0.0000 0.0000 1
Na1 Na 0.4305 0.4492 0.1986 1
Nb1 Nb 0.0000 0.0000 0.5000 1
Cl1 Cl 0.2009 0.8260 0.6858 1
Cl2 Cl 0.2194 0.2748 0.4773 1
Cl3 Cl 0.2257 0.8490 0.3137 1
Cl4 Cl 0.3035 0.3188 0.9660 1
```

Most intense lines, 2θ from 15° to 90°, in order of rising 2θ:
(0 1 1), 2θ 15.63, intensity 63; (1 0 1), 2θ 16.18, intensity 61; (1 1 0), 2θ 18.61, intensity 79; (0 0 2), 2θ 19.65, intensity 49; (1 -1 0), 2θ 19.88, intensity 100; (1 0 2), 2θ 22.95, intensity 45; (-1 1 2), 2θ 28.00, intensity 87; (1 -1 2), 2θ 28.17, intensity 72; (1 2 0), 2θ 29.44, intensity 65; (2 -1 2), 2θ 36.99, intensity 34; (2 2 0), 2θ 37.73, intensity 41; (0 0 4), 2θ 39.92, intensity 33

---

[7]
# ScIn3Pd6
Calculated powder diffraction line list, Cu Kα (weighted mean of Kα1 and Kα2). Input: a crystal structure in Alexandria, relaxed with PBE.

Structure:
```
data_ScIn3Pd6
_space_group_name_H-M_alt 'P 1 21/m 1'
_space_group_IT_number 11
_space_group_name_Hall '-P 2yb'
_cell_length_a 7.7495
_cell_length_b 4.7476
_cell_length_c 10.0992
_cell_angle_alpha 90.00
_cell_angle_beta 111.04
_cell_angle_gamma 90.00
loop_
_atom_site_label
_atom_site_type_symbol
_atom_site_fract_x
_atom_site_fract_y
_atom_site_fract_z
_atom_site_occupancy
Sc1 Sc 0.0663 0.2500 0.3771 1
In1 In 0.2342 0.2500 0.9839 1
In2 In 0.3439 0.7500 0.8126 1
In3 In 0.4757 0.2500 0.5987 1
Pd1 Pd 0.0494 0.7500 0.9152 1
Pd2 Pd 0.1394 0.7500 0.2226 1
Pd3 Pd 0.1607 0.2500 0.6748 1
Pd4 Pd 0.2384 0.7500 0.5222 1
Pd5 Pd 0.3589 0.2500 0.2831 1
Pd6 Pd 0.4424 0.7500 0.1066 1
```

Most intense lines, 2θ from 15° to 90°, in order of rising 2θ:
(2 0 -4), 2θ 37.32, intensity 25; (0 2 0), 2θ 37.90, intensity 32; (1 1 3), 2θ 39.94, intensity 100; (2 1 -4), 2θ 42.06, intensity 10; (2 2 -4), 2θ 54.25, intensity 17; (4 0 2), 2θ 61.13, intensity 7; (1 0 -7), 2θ 65.80, intensity 5; (1 1 -7), 2θ 69.07, intensity 10; (1 3 3), 2θ 69.83, intensity 18; (2 0 6), 2θ 73.86, intensity 6; (4 2 2), 2θ 74.22, intensity 8; (2 2 6), 2θ 86.15, intensity 8

---

[8]
# MgZn6Pt2
Calculated powder diffraction line list, Cu Kα (weighted mean of Kα1 and Kα2). Input: a crystal structure in Alexandria, relaxed with PBE.

Structure:
```
data_MgZn6Pt2
_space_group_name_H-M_alt 'C 1 2/m 1'
_space_group_IT_number 12
_space_group_name_Hall '-C 2y'
_cell_length_a 7.4582
_cell_length_b 4.5038
_cell_length_c 8.1641
_cell_angle_alpha 90.00
_cell_angle_beta 96.94
_cell_angle_gamma 90.00
loop_
_atom_site_label
_atom_site_type_symbol
_atom_site_fract_x
_atom_site_fract_y
_atom_site_fract_z
_atom_site_occupancy
Mg1 Mg 0.0000 0.0000 0.0000 1
Zn1 Zn 0.0131 0.0000 0.3365 1
Zn2 Zn 0.1660 0.5000 0.4591 1
Zn3 Zn 0.1807 0.5000 0.1279 1
Pt1 Pt 0.1452 0.5000 0.7918 1
```

Most intense lines, 2θ from 15° to 90°, in order of rising 2θ:
(0 0 2), 2θ 21.93, intensity 24; (1 1 0), 2θ 23.12, intensity 26; (2 0 -1), 2θ 25.21, intensity 23; (1 1 1), 2θ 26.26, intensity 32; (2 0 -3), 2θ 38.82, intensity 53; (0 2 0), 2θ 40.04, intensity 57; (3 1 0), 2θ 41.74, intensity 92; (1 1 3), 2θ 42.06, intensity 100; (2 2 -3), 2θ 56.99, intensity 34; (1 1 -6), 2θ 72.73, intensity 15; (3 3 0), 2θ 73.89, intensity 16; (1 3 3), 2θ 74.12, intensity 19